Computed powder X-ray diffraction pattern of LaTbCoCu for Cu Kα, 1.54184 Å, from a cell relaxed with GGA-PBE.
Lines closer than 0.1° are merged.

Peak list (10 most intense, 2θ from 10° to 80°, by intensity)
two_theta, d/Å, I/Imax
32.36, 2.767, 100
40.36, 2.235, 56
34.18, 2.624, 43
26.70, 3.338, 37
33.43, 2.681, 28
42.37, 2.133, 27
54.97, 1.670, 24
55.52, 1.655, 21
47.04, 1.932, 20
39.71, 2.270, 17

Structural model:
```
8
Lattice="4.2667 0.0000 0.0000 0.0000 3.8634 0.0000 0.0000 0.0000 10.7222" Properties=species:S:1:pos:R:3 pbc="T T T"
La 0.0000 0.0000 0.0000
La 0.0000 1.9317 5.3611
Tb 2.1333 0.0000 2.9352
Tb 2.1333 1.9317 8.2963
Co 2.1333 0.0000 6.0979
Co 2.1333 1.9317 0.7368
Cu 0.0000 0.0000 7.6081
Cu 0.0000 1.9317 2.2470
```